This entry pairs a crystal structure of VF5 with its calculated XRD peak list. Radiation: Cu Kα, 1.54184 Å. Structure: DFT lattice parameters and positions (GGA+U).
Kinematic intensities with the Lorentz-polarization factor, no thermal factor.

Top 10 peaks for 5° ≤ 2θ ≤ 70°, sorted by position:
2θ/deg  I/Imax  (hkl)
14.9  82  0 1 1
17.7  58  0 2 0
20.2  100  1 0 1
21.5  32  0 2 1
22.0  23  1 1 -1
24.0  13  1 2 0
27.0  25  1 2 1
30.6  12  1 1 2
35.9  12  0 4 0
50.9  12  2 1 3

Cell and atoms:
```
VF5
1.0
5.4969 0.0000 0.0000
0.0000 10.0163 0.0000
-0.0365 0.0000 7.3561
V F
4 20
Direct
0.0123 0.0000 0.0595
0.4859 0.3932 0.6138
0.5141 0.8932 0.3862
0.9877 0.5000 0.9405
0.0103 0.8634 0.9083
0.0173 0.0938 0.2630
0.2268 0.5861 0.0432
0.2305 0.3880 0.8069
0.2424 0.0887 0.9514
0.2559 0.3948 0.4497
0.2685 0.8905 0.1852
0.2772 0.8970 0.5428
0.4815 0.5667 0.6583
0.4877 0.2193 0.6499
0.5123 0.7193 0.3501
0.5185 0.0667 0.3417
0.7228 0.3970 0.4572
0.7315 0.3905 0.8148
0.7441 0.8948 0.5503
0.7576 0.5887 0.0486
0.7695 0.8880 0.1931
0.7732 0.0861 0.9568
0.9827 0.5938 0.7370
0.9897 0.3634 0.0917
```